# LiNiO
Theoretical powder X-ray diffraction pattern, CuKα. Input: a structure optimized by DFT (PBE+U).
Peak positions follow from Bragg's law for the DFT cell and can differ from measured ones.

Largest 12 diffraction maxima, by angle, 5 to 70 degrees two-theta:
2θ/deg	I (rel.)
18.1	100
31.2	9
35.1	38
36.6	19
36.7	17
39.8	38
41.2	35
51.6	10
52.8	25
55.3	37
65.0	19
68.0	11

Crystal structure
a b c (Å): 3.536 3.536 4.911
angles (deg): 90.00 90.00 92.49
Element x y z (fractional)
1 Li 0.250 0.250 0.000
2 Li 0.750 0.750 0.000
3 Ni 0.000 0.500 0.500
4 Ni 0.500 0.000 0.500
5 O 0.250 0.750 0.807
6 O 0.750 0.250 0.193